This entry pairs a crystal structure of Ge3Pb2Au2 with its computed X-ray powder pattern. Radiation: Cu Kα (weighted mean of Kα1 and Kα2). Structure: a crystal structure in OQMD, relaxed with GGA-PBE.
Peak positions follow from Bragg's law for the DFT cell and can differ from measured ones.

Main lines, in order of falling intensity (10 to 80 degrees two-theta):
2θ (°)  d/Å  Rel. int.  (hkl)
37.0  2.428  100  1 1 0
25.8  3.453  71  1 0 4
36.6  2.456  61  0 1 8
66.4  1.407  22  1 2 8
53.0  1.727  21  2 0 8
33.5  2.671  21  1 0 7
66.7  1.402  18  3 0 0
50.6  1.802  17  1 1 9
45.7  1.986  16  0 2 4
60.2  1.537  15  2 1 4

Structure:
abc: 4.8553 4.8553 24.2132
angles: 90.00 90.00 120.00
Space group R3m (No. 160, hexagonal axes)
Inequivalent atoms, fractional coordinates:
Ge 0.0000 0.0000 0.0000 (multiplicity 3)
Ge 0.0000 0.0000 0.2408 (multiplicity 3)
Ge 0.0000 0.0000 0.5174 (multiplicity 3)
Pb 0.0000 0.0000 0.1187 (multiplicity 3)
Pb 0.0000 0.0000 0.6544 (multiplicity 3)
Au 0.0000 0.0000 0.3978 (multiplicity 3)
Au 0.0000 0.0000 0.8840 (multiplicity 3)

This entry pairs a crystal structure of Ge5Pd3Au with its computed X-ray powder pattern. Radiation: Cu Kα (weighted mean of Kα1 and Kα2). Structure: a crystal structure in OQMD, relaxed with GGA-PBE.
Peak positions follow from Bragg's law for the DFT cell and can differ from measured ones.

Main lines, in order of falling intensity (10 to 80 degrees two-theta):
2θ (°)  d/Å  Rel. int.  (hkl)
47.6  1.911  100  2 0 2
33.6  2.668  59  1 1 0
36.2  2.484  53  1 1 1
32.7  2.740  42  1 0 2
23.3  3.823  40  1 0 1
39.0  2.311  36  2 0 0
44.5  2.036  34  1 0 3
26.2  3.402  26  0 0 2
70.6  1.334  25  2 2 0
68.5  1.370  24  2 0 4

Structure:
abc: 5.3362 5.3362 6.8034
angles: 90.00 90.00 120.00
Space group P6/mmm (No. 191)
Inequivalent atoms, fractional coordinates:
Ge 0.0000 0.0000 0.0000 (multiplicity 1)
Ge 0.3333 0.6667 0.3133 (multiplicity 4)
Pd 0.0000 0.5000 0.0000 (multiplicity 3)
Au 0.0000 0.0000 0.5000 (multiplicity 1)

This entry pairs a crystal structure of Pr3Ge4Pd2Au2 with its computed X-ray powder pattern. Radiation: Cu Kα (weighted mean of Kα1 and Kα2). Structure: a crystal structure in OQMD, relaxed with GGA-PBE.
Peak positions follow from Bragg's law for the DFT cell and can differ from measured ones.

Main lines, in order of falling intensity (10 to 80 degrees two-theta):
2θ (°)  d/Å  Rel. int.  (hkl)
32.4  2.762  100  1 1 4
32.3  2.773  36  1 0 7
41.1  2.196  29  0 2 0
42.2  2.140  26  2 0 0
37.8  2.379  24  0 1 9
44.2  2.049  20  0 1 11
60.4  1.533  18  2 2 0
53.2  1.721  18  1 2 7
71.0  1.328  14  3 1 4
27.2  3.278  14  1 0 5

Structure:
abc: 4.280 4.392 25.479
angles: 90.00 90.00 90.00
Space group Immm (No. 71)
Inequivalent atoms, fractional coordinates:
Pr 0.000 0.000 0.000 (multiplicity 2)
Pr 0.000 0.500 0.150 (multiplicity 4)
Ge 0.000 0.000 0.451 (multiplicity 4)
Ge 0.000 0.500 0.302 (multiplicity 4)
Pd 0.000 0.000 0.250 (multiplicity 4)
Au 0.000 0.500 0.402 (multiplicity 4)